# 1
For NaCd2Pd, a DFT-relaxed cell (GGA-PBE, Alexandria) gives the theoretical powder X-ray diffraction pattern in this record (Cu Kα, 1.54184 Å).

The 10 most intense peaks (2θ from 10° to 90°), sorted by position:
Position (°2θ)	d (Å)	I_rel
17.3	5.125	41
22.5	3.958	29
31.6	2.827	43
33.5	2.673	28
35.4	2.538	39
37.7	2.384	22
40.5	2.228	100
41.7	2.164	31
42.1	2.145	30
60.8	1.524	24

Cell and atoms:
```
NaCd2Pd
1.0
4.291 0.000 0.000
0.000 10.250 0.000
0.000 0.000 8.081
Na Cd Pd
4 8 4
direct
0.000 0.060 0.250
0.000 0.940 0.750
0.500 0.440 0.750
0.500 0.560 0.250
0.000 0.358 0.056
0.000 0.358 0.444
0.000 0.642 0.556
0.000 0.642 0.944
0.500 0.142 0.556
0.500 0.142 0.944
0.500 0.858 0.056
0.500 0.858 0.444
0.000 0.232 0.750
0.000 0.768 0.250
0.500 0.268 0.250
0.500 0.732 0.750
```

# 2
For Na3CdPd8, a DFT-relaxed cell (GGA-PBE, Alexandria) gives the theoretical powder X-ray diffraction pattern in this record (Cu Kα, 1.54184 Å).

The 10 most intense peaks (2θ from 10° to 90°), sorted by position:
Position (°2θ)	d (Å)	I_rel
20.3	4.377	55
33.4	2.680	9
39.4	2.286	100
41.3	2.188	68
48.0	1.895	20
52.6	1.739	12
63.8	1.459	19
63.8	1.458	12
70.2	1.340	29
84.8	1.143	18

Cell and atoms:
```
Na3CdPd8
1.0
2.679 1.547 8.764
-2.679 1.547 8.764
0.000 -3.093 8.764
Na Cd Pd
3 1 8
direct
0.000 0.000 0.000
0.125 0.125 0.125
0.499 0.499 0.499
0.625 0.625 0.625
0.059 0.561 0.561
0.062 0.062 0.565
0.062 0.565 0.062
0.312 0.312 0.312
0.561 0.059 0.561
0.561 0.561 0.059
0.565 0.062 0.062
0.812 0.812 0.812
```

# 3
For Na5Cd6Pd, a DFT-relaxed cell (GGA-PBE, Alexandria) gives the theoretical powder X-ray diffraction pattern in this record (Cu Kα, 1.54184 Å).

The 10 most intense peaks (2θ from 10° to 90°), sorted by position:
Position (°2θ)	d (Å)	I_rel
17.3	5.126	62
31.9	2.803	28
33.3	2.692	51
33.5	2.677	100
35.0	2.563	42
39.0	2.311	34
39.4	2.288	61
43.2	2.095	17
55.4	1.658	21
57.8	1.596	26

Cell and atoms:
```
Na5Cd6Pd
1.0
2.880 -4.924 0.000
2.880 4.924 0.000
-1.863 0.000 10.252
Na Cd Pd
5 6 1
direct
0.000 0.000 0.000
0.167 0.833 0.500
0.331 0.669 0.000
0.669 0.331 0.000
0.833 0.167 0.500
0.111 0.422 0.264
0.269 0.269 0.735
0.422 0.111 0.264
0.578 0.889 0.736
0.731 0.731 0.265
0.889 0.578 0.736
0.500 0.500 0.500
```

# 4
For Na4Cd4Pd, a DFT-relaxed cell (GGA-PBE, Alexandria) gives the theoretical powder X-ray diffraction pattern in this record (Cu Kα, 1.54184 Å).

The 10 most intense peaks (2θ from 10° to 90°), sorted by position:
Position (°2θ)	d (Å)	I_rel
13.1	6.761	26
16.2	5.465	84
21.0	4.225	41
24.9	3.583	81
32.8	2.732	63
34.0	2.639	65
34.2	2.621	100
36.5	2.464	51
39.2	2.298	51
50.1	1.821	71

Cell and atoms:
```
Na4Cd4Pd
1.0
-2.987 2.987 6.761
2.987 -2.987 6.761
2.987 2.987 -6.761
Na Cd Pd
4 4 1
direct
0.000 0.500 0.500
0.114 0.114 0.000
0.500 0.000 0.500
0.886 0.886 0.000
0.147 0.486 0.000
0.486 0.147 0.000
0.514 0.514 0.660
0.853 0.853 0.340
0.500 0.500 0.000
```

# 5
For Na4Cd5Pd, a DFT-relaxed cell (GGA-PBE, Alexandria) gives the theoretical powder X-ray diffraction pattern in this record (Cu Kα, 1.54184 Å).

The 10 most intense peaks (2θ from 10° to 90°), sorted by position:
Position (°2θ)	d (Å)	I_rel
12.5	7.104	100
19.0	4.681	22
25.1	3.552	34
31.6	2.830	83
36.4	2.465	36
38.0	2.368	45
38.5	2.341	42
44.6	2.033	27
48.5	1.878	15
64.5	1.444	24

Cell and atoms:
```
Na4Cd5Pd
1.0
-5.023 5.023 2.645
5.023 -5.023 2.645
5.023 5.023 -2.645
Na Cd Pd
4 5 1
direct
0.000 0.294 0.294
0.000 0.706 0.706
0.294 0.000 0.294
0.706 0.000 0.706
0.286 0.286 0.630
0.286 0.656 0.000
0.656 0.286 0.000
0.656 0.656 0.370
0.787 0.787 0.000
0.283 0.283 0.000
```

# 6
For Na4Cd3Pd2, a DFT-relaxed cell (GGA-PBE, Alexandria) gives the theoretical powder X-ray diffraction pattern in this record (Cu Kα, 1.54184 Å).

The 10 most intense peaks (2θ from 10° to 90°), sorted by position:
Position (°2θ)	d (Å)	I_rel
11.9	7.437	66
13.4	6.608	65
19.7	4.505	100
24.0	3.714	33
31.7	2.820	43
35.2	2.548	35
35.6	2.524	83
36.5	2.464	61
40.2	2.246	39
45.1	2.009	42

Cell and atoms:
```
Na4Cd3Pd2
1.0
7.596 -2.246 0.000
7.596 2.246 0.000
-1.373 0.000 6.608
Na Cd Pd
4 3 2
direct
0.083 0.083 0.365
0.280 0.280 0.819
0.720 0.720 0.181
0.917 0.917 0.635
0.379 0.379 0.301
0.500 0.500 0.000
0.621 0.621 0.699
0.091 0.091 0.916
0.909 0.909 0.084
```

# 7
For NaCd6Pd2, a DFT-relaxed cell (GGA-PBE, Alexandria) gives the theoretical powder X-ray diffraction pattern in this record (Cu Kα, 1.54184 Å).

The 10 most intense peaks (2θ from 10° to 90°), sorted by position:
Position (°2θ)	d (Å)	I_rel
23.7	3.757	4
29.5	3.031	7
37.3	2.410	100
37.6	2.394	97
54.0	1.698	33
67.1	1.394	16
67.6	1.385	33
67.8	1.382	16
79.6	1.205	10
80.2	1.197	10

Cell and atoms:
```
NaCd6Pd2
1.0
4.787 0.000 0.000
-2.394 4.146 0.000
0.000 0.000 8.883
Na Cd Pd
1 6 2
direct
0.000 0.000 0.000
0.000 0.000 0.324
0.000 0.000 0.676
0.333 0.667 0.557
0.333 0.667 0.895
0.667 0.333 0.105
0.667 0.333 0.443
0.333 0.667 0.227
0.667 0.333 0.773
```

# 8
For NaTbCdPd, a DFT-relaxed cell (GGA-PBE, Alexandria) gives the theoretical powder X-ray diffraction pattern in this record (Cu Kα, 1.54184 Å).

The 10 most intense peaks (2θ from 10° to 90°), sorted by position:
Position (°2θ)	d (Å)	I_rel
21.6	4.118	25
35.6	2.522	100
42.0	2.151	14
51.2	1.783	17
56.2	1.636	6
63.9	1.456	35
68.3	1.373	4
75.4	1.261	11
79.5	1.206	4
86.3	1.128	15

Cell and atoms:
```
NaTbCdPd
1.0
7.132 0.000 0.000
0.000 7.132 0.000
0.000 0.000 7.132
Na Tb Cd Pd
4 4 4 4
direct
0.000 0.000 0.000
0.000 0.500 0.500
0.500 0.000 0.500
0.500 0.500 0.000
0.000 0.000 0.500
0.000 0.500 0.000
0.500 0.000 0.000
0.500 0.500 0.500
0.250 0.250 0.750
0.250 0.750 0.250
0.750 0.250 0.250
0.750 0.750 0.750
0.250 0.250 0.250
0.250 0.750 0.750
0.750 0.250 0.750
0.750 0.750 0.250
```

# 9
For NaPmCd6, a DFT-relaxed cell (GGA-PBE, Alexandria) gives the theoretical powder X-ray diffraction pattern in this record (Cu Kα, 1.54184 Å).

The 10 most intense peaks (2θ from 10° to 90°), sorted by position:
Position (°2θ)	d (Å)	I_rel
30.4	2.940	22
31.5	2.837	17
35.4	2.538	100
35.7	2.513	32
36.4	2.471	41
47.6	1.910	12
55.4	1.657	16
64.0	1.456	17
66.2	1.411	11
67.7	1.384	17

Cell and atoms:
```
NaPmCd6
1.0
5.027 0.000 0.000
0.000 6.874 0.000
0.000 0.000 11.350
Na Pm Cd
2 2 12
direct
0.000 0.000 0.000
0.000 0.500 0.500
0.500 0.000 0.694
0.500 0.500 0.194
0.000 0.000 0.516
0.000 0.228 0.263
0.000 0.272 0.763
0.000 0.500 0.016
0.000 0.728 0.763
0.000 0.772 0.263
0.500 0.000 0.180
0.500 0.229 0.434
0.500 0.271 0.934
0.500 0.500 0.680
0.500 0.729 0.934
0.500 0.771 0.434
```

# 10
For Na2Pm2Cd15, a DFT-relaxed cell (GGA-PBE, Alexandria) gives the theoretical powder X-ray diffraction pattern in this record (Cu Kα, 1.54184 Å).

The 10 most intense peaks (2θ from 10° to 90°), sorted by position:
Position (°2θ)	d (Å)	I_rel
11.4	7.782	40
17.2	5.155	27
30.0	2.976	23
30.1	2.965	27
34.6	2.594	74
34.7	2.587	39
34.8	2.577	53
38.3	2.353	43
38.9	2.317	100
62.4	1.489	34

Cell and atoms:
```
Na2Pm2Cd15
1.0
5.155 2.976 5.289
-5.155 2.976 5.289
0.000 -5.953 5.289
Na Pm Cd
2 2 15
direct
0.152 0.152 0.152
0.848 0.848 0.848
0.408 0.408 0.408
0.592 0.592 0.592
0.000 0.500 0.500
0.138 0.138 0.647
0.138 0.647 0.138
0.199 0.500 0.801
0.199 0.801 0.500
0.353 0.862 0.862
0.500 0.000 0.500
0.500 0.199 0.801
0.500 0.500 0.000
0.500 0.801 0.199
0.647 0.138 0.138
0.801 0.199 0.500
0.801 0.500 0.199
0.862 0.353 0.862
0.862 0.862 0.353
```

# 11
For NaPr5Cd6, a DFT-relaxed cell (GGA-PBE, Alexandria) gives the theoretical powder X-ray diffraction pattern in this record (Cu Kα, 1.54184 Å).

The 10 most intense peaks (2θ from 10° to 90°), sorted by position:
Position (°2θ)	d (Å)	I_rel
32.8	2.730	100
47.1	1.930	18
58.6	1.576	30
58.6	1.575	6
68.6	1.367	2
68.8	1.365	9
78.3	1.222	8
78.4	1.220	8
87.5	1.115	2
87.6	1.114	2

Cell and atoms:
```
NaPr5Cd6
1.0
-2.728 3.856 8.203
2.728 -3.856 8.203
2.728 3.856 -8.203
Na Pr Cd
1 5 6
direct
0.000 0.000 0.000
0.166 0.666 0.500
0.333 0.333 0.000
0.500 0.000 0.500
0.667 0.667 0.000
0.834 0.334 0.500
0.081 0.836 0.245
0.244 0.500 0.744
0.409 0.164 0.245
0.591 0.836 0.755
0.756 0.500 0.256
0.919 0.164 0.755
```

# 12
For NaPrCd4, a DFT-relaxed cell (GGA-PBE, Alexandria) gives the theoretical powder X-ray diffraction pattern in this record (Cu Kα, 1.54184 Å).

The 10 most intense peaks (2θ from 10° to 90°), sorted by position:
Position (°2θ)	d (Å)	I_rel
12.6	7.022	15
25.4	3.511	18
32.3	2.768	17
32.5	2.753	34
32.9	2.724	33
33.1	2.710	16
35.5	2.526	100
52.1	1.756	11
63.8	1.459	17
64.0	1.455	11

Cell and atoms:
```
NaPrCd4
1.0
5.052 0.000 0.000
-2.526 4.378 0.000
-0.018 -0.152 7.022
Na Pr Cd
1 1 4
direct
0.000 0.000 0.000
0.000 0.000 0.500
0.331 0.664 0.252
0.335 0.670 0.748
0.665 0.330 0.252
0.669 0.336 0.748
```

Repeat the second record exactly.
For Na3CdPd8, a DFT-relaxed cell (GGA-PBE, Alexandria) gives the theoretical powder X-ray diffraction pattern in this record (Cu Kα, 1.54184 Å).

The 10 most intense peaks (2θ from 10° to 90°), sorted by position:
Position (°2θ)	d (Å)	I_rel
20.3	4.377	55
33.4	2.680	9
39.4	2.286	100
41.3	2.188	68
48.0	1.895	20
52.6	1.739	12
63.8	1.459	19
63.8	1.458	12
70.2	1.340	29
84.8	1.143	18

Cell and atoms:
```
Na3CdPd8
1.0
2.679 1.547 8.764
-2.679 1.547 8.764
0.000 -3.093 8.764
Na Cd Pd
3 1 8
direct
0.000 0.000 0.000
0.125 0.125 0.125
0.499 0.499 0.499
0.625 0.625 0.625
0.059 0.561 0.561
0.062 0.062 0.565
0.062 0.565 0.062
0.312 0.312 0.312
0.561 0.059 0.561
0.561 0.561 0.059
0.565 0.062 0.062
0.812 0.812 0.812
```

Repeat the third record exactly.
For Na5Cd6Pd, a DFT-relaxed cell (GGA-PBE, Alexandria) gives the theoretical powder X-ray diffraction pattern in this record (Cu Kα, 1.54184 Å).

The 10 most intense peaks (2θ from 10° to 90°), sorted by position:
Position (°2θ)	d (Å)	I_rel
17.3	5.126	62
31.9	2.803	28
33.3	2.692	51
33.5	2.677	100
35.0	2.563	42
39.0	2.311	34
39.4	2.288	61
43.2	2.095	17
55.4	1.658	21
57.8	1.596	26

Cell and atoms:
```
Na5Cd6Pd
1.0
2.880 -4.924 0.000
2.880 4.924 0.000
-1.863 0.000 10.252
Na Cd Pd
5 6 1
direct
0.000 0.000 0.000
0.167 0.833 0.500
0.331 0.669 0.000
0.669 0.331 0.000
0.833 0.167 0.500
0.111 0.422 0.264
0.269 0.269 0.735
0.422 0.111 0.264
0.578 0.889 0.736
0.731 0.731 0.265
0.889 0.578 0.736
0.500 0.500 0.500
```

- What is the formula in the third record?
  Na5Cd6Pd